(1)
Diffraction record for K2TlCoH6. The powder X-ray diffraction pattern is calculated, not measured: it uses a DFT-relaxed cell (GGA-PBE, Alexandria) and Cu Kα.

The 10 most intense peaks (15 to 90 degrees two-theta), sorted by position:
| 2theta | d [Å] | intensity |
| --- | --- | --- |
| 18.26 | 4.859 | 100 |
| 22.91 | 3.882 | 66 |
| 31.90 | 2.805 | 60 |
| 33.32 | 2.689 | 69 |
| 37.00 | 2.429 | 16 |
| 39.64 | 2.274 | 17 |
| 42.70 | 2.117 | 29 |
| 46.80 | 1.941 | 27 |
| 51.75 | 1.766 | 16 |
| 57.76 | 1.596 | 28 |

Cell and atoms:
Unit cell a=5.6106 b=5.6106 c=6.4563 alpha=90.00 beta=90.00 gamma=120.00
Space group P-3m1 (No. 164)
Symmetry-distinct sites (fractional):
K 0.3333 0.6667 0.1376 (multiplicity 2)
Tl 0.0000 0.0000 0.5000 (multiplicity 1)
Co 0.0000 0.0000 0.0000 (multiplicity 1)
H 0.1311 0.2621 0.8589 (multiplicity 6)

***

(2)
Diffraction record for LaCoH. The powder X-ray diffraction pattern is calculated, not measured: it uses a DFT-relaxed cell (GGA-PBE, Alexandria) and Cu Kα.

The 10 most intense peaks (15 to 90 degrees two-theta), sorted by position:
| 2theta | d [Å] | intensity |
| --- | --- | --- |
| 28.26 | 3.158 | 34 |
| 29.17 | 3.061 | 100 |
| 35.24 | 2.547 | 54 |
| 37.47 | 2.400 | 32 |
| 40.76 | 2.214 | 20 |
| 40.88 | 2.207 | 17 |
| 45.15 | 2.008 | 18 |
| 47.58 | 1.911 | 16 |
| 54.96 | 1.671 | 25 |
| 56.55 | 1.627 | 15 |

Cell and atoms:
Unit cell a=4.8004 b=9.0122 c=4.4278 alpha=90.00 beta=90.00 gamma=90.00
Space group Cmc2_1 (No. 36)
Symmetry-distinct sites (fractional):
La 0.0000 0.1516 0.0000 (multiplicity 4)
Co 0.0000 0.4529 0.0750 (multiplicity 4)
H 0.0000 0.3667 0.3946 (multiplicity 4)

***

(3)
Diffraction record for LaCoH. The powder X-ray diffraction pattern is calculated, not measured: it uses a DFT-relaxed cell (GGA-PBE, Alexandria) and Cu Kα.

The 10 most intense peaks (15 to 90 degrees two-theta), sorted by position:
| 2theta | d [Å] | intensity |
| --- | --- | --- |
| 27.02 | 3.300 | 64 |
| 28.68 | 3.113 | 100 |
| 37.52 | 2.397 | 71 |
| 40.83 | 2.210 | 21 |
| 41.17 | 2.193 | 27 |
| 42.00 | 2.151 | 48 |
| 49.94 | 1.826 | 24 |
| 58.70 | 1.573 | 13 |
| 59.38 | 1.556 | 13 |
| 60.62 | 1.528 | 15 |

Cell and atoms:
Unit cell a=5.1547 b=8.5894 c=4.3852 alpha=90.00 beta=90.00 gamma=90.00
Space group Ama2 (No. 40)
Symmetry-distinct sites (fractional):
La 0.2500 0.1605 0.0000 (multiplicity 4)
Co 0.0000 0.0000 0.5134 (multiplicity 4)
H 0.2500 0.4275 0.8222 (multiplicity 4)

***

(4)
Diffraction record for LaCo2H8. The powder X-ray diffraction pattern is calculated, not measured: it uses a DFT-relaxed cell (GGA-PBE, Alexandria) and Cu Kα.

The 10 most intense peaks (15 to 90 degrees two-theta), sorted by position:
| 2theta | d [Å] | intensity |
| --- | --- | --- |
| 22.81 | 3.898 | 15 |
| 30.41 | 2.939 | 100 |
| 40.06 | 2.251 | 38 |
| 40.31 | 2.237 | 13 |
| 51.11 | 1.787 | 22 |
| 58.14 | 1.587 | 25 |
| 66.85 | 1.399 | 19 |
| 67.20 | 1.393 | 10 |
| 72.78 | 1.299 | 6 |
| 86.64 | 1.124 | 7 |

Cell and atoms:
Unit cell a=4.4748 b=7.7954 c=4.5019 alpha=90.00 beta=90.00 gamma=90.00
Space group Amm2 (No. 38)
Symmetry-distinct sites (fractional):
La 0.0000 0.0000 0.0000 (multiplicity 2)
Co 0.5000 0.1722 0.5478 (multiplicity 4)
H 0.2615 0.2244 0.2583 (multiplicity 8)
H 0.2737 0.0000 0.5061 (multiplicity 4)
H 0.5000 0.1334 0.8984 (multiplicity 4)

***

(5)
Diffraction record for NaLaCoH6. The powder X-ray diffraction pattern is calculated, not measured: it uses a DFT-relaxed cell (GGA-PBE, Alexandria) and Cu Kα.

The 10 most intense peaks (15 to 90 degrees two-theta), sorted by position:
| 2theta | d [Å] | intensity |
| --- | --- | --- |
| 20.75 | 4.281 | 19 |
| 21.27 | 4.178 | 40 |
| 29.88 | 2.990 | 100 |
| 37.28 | 2.412 | 48 |
| 43.04 | 2.101 | 17 |
| 47.75 | 1.905 | 27 |
| 48.49 | 1.877 | 27 |
| 62.09 | 1.495 | 12 |
| 62.71 | 1.481 | 23 |
| 74.70 | 1.271 | 14 |

Cell and atoms:
Unit cell a=4.8241 b=4.8241 c=4.2806 alpha=90.00 beta=90.00 gamma=120.00
Space group P3m1 (No. 156)
Symmetry-distinct sites (fractional):
Na 0.0000 0.0000 0.0000 (multiplicity 1)
La 0.3333 0.6667 0.4911 (multiplicity 1)
Co 0.6667 0.3333 0.7831 (multiplicity 1)
H 0.3566 0.1783 0.5644 (multiplicity 3)
H 0.5034 0.0068 0.9844 (multiplicity 3)

***

(6)
Diffraction record for LaCoH6Pt. The powder X-ray diffraction pattern is calculated, not measured: it uses a DFT-relaxed cell (GGA-PBE, Alexandria) and Cu Kα.

The 10 most intense peaks (15 to 90 degrees two-theta), sorted by position:
| 2theta | d [Å] | intensity |
| --- | --- | --- |
| 21.98 | 4.044 | 16 |
| 30.33 | 2.947 | 100 |
| 38.56 | 2.335 | 48 |
| 41.99 | 2.152 | 12 |
| 49.83 | 1.830 | 25 |
| 58.32 | 1.582 | 29 |
| 64.72 | 1.440 | 23 |
| 69.53 | 1.352 | 9 |
| 69.77 | 1.348 | 8 |
| 84.89 | 1.142 | 10 |

Cell and atoms:
Unit cell a=4.6695 b=4.6695 c=4.3034 alpha=90.00 beta=90.00 gamma=120.00
Space group P-6m2 (No. 187)
Symmetry-distinct sites (fractional):
La 0.0000 0.0000 0.0000 (multiplicity 1)
Co 0.6667 0.3333 0.5000 (multiplicity 1)
H 0.5147 0.0294 0.2485 (multiplicity 6)
Pt 0.3333 0.6667 0.5000 (multiplicity 1)

***

(7)
Diffraction record for Li2CoH6. The powder X-ray diffraction pattern is calculated, not measured: it uses a DFT-relaxed cell (GGA-PBE, Alexandria) and Cu Kα.

The 10 most intense peaks (15 to 90 degrees two-theta), sorted by position:
| 2theta | d [Å] | intensity |
| --- | --- | --- |
| 21.54 | 4.126 | 35 |
| 24.31 | 3.661 | 100 |
| 30.96 | 2.889 | 42 |
| 38.03 | 2.366 | 28 |
| 39.50 | 2.282 | 38 |
| 44.35 | 2.043 | 13 |
| 49.81 | 1.831 | 12 |
| 51.21 | 1.784 | 22 |
| 54.67 | 1.679 | 9 |
| 60.87 | 1.522 | 22 |

Cell and atoms:
Unit cell a=4.0852 b=4.0852 c=8.2514 alpha=90.00 beta=90.00 gamma=90.00
Space group P4_2/mnm (No. 136)
Symmetry-distinct sites (fractional):
Li 0.0000 0.0000 0.1646 (multiplicity 4)
Co 0.0000 0.0000 0.5000 (multiplicity 2)
H 0.1738 0.1738 0.3598 (multiplicity 8)
H 0.2343 0.2343 0.0000 (multiplicity 4)

***

(8)
Diffraction record for LiCoNiH4. The powder X-ray diffraction pattern is calculated, not measured: it uses a DFT-relaxed cell (GGA-PBE, Alexandria) and Cu Kα.

The 10 most intense peaks (15 to 90 degrees two-theta), sorted by position:
| 2theta | d [Å] | intensity |
| --- | --- | --- |
| 21.03 | 4.225 | 100 |
| 40.76 | 2.214 | 41 |
| 41.17 | 2.193 | 20 |
| 42.75 | 2.115 | 30 |
| 42.86 | 2.110 | 30 |
| 49.61 | 1.838 | 20 |
| 50.31 | 1.814 | 9 |
| 54.77 | 1.676 | 13 |
| 73.34 | 1.291 | 13 |
| 88.18 | 1.108 | 7 |

Cell and atoms:
Unit cell a=5.1875 b=5.2081 c=7.2546 alpha=90.00 beta=90.00 gamma=90.00
Space group Imma (No. 74)
Symmetry-distinct sites (fractional):
Li 0.0000 0.2500 0.1202 (multiplicity 4)
Co 0.2500 0.2500 0.7500 (multiplicity 4)
Ni 0.0000 0.0000 0.5000 (multiplicity 4)
H 0.0000 0.0457 0.7396 (multiplicity 8)
H 0.2119 0.2500 0.5240 (multiplicity 8)